# 1
ZnBiSbO5: computed XRD peak list (Cu Kα), based on the PBE geometry in the Materials Project.
Peak positions follow from Bragg's law for the DFT cell and can differ from measured ones.

Main lines, in order of falling intensity (2θ from 10° to 90°):
d/Å, I_rel
3.124, 100
3.649, 85
2.783, 46
5.041, 41
2.649, 35
3.042, 30
2.511, 26
1.766, 22
4.777, 20
3.671, 20
2.334, 19
6.084, 19

Cell and atoms:
abc: 5.434 12.168 8.300
angles: 90.00 111.91 90.00
Sites, in units of the cell vectors:
Zn 0.054 0.081 0.170
Zn 0.054 0.419 0.670
Zn 0.946 0.581 0.330
Zn 0.946 0.919 0.830
Bi 0.443 0.097 0.834
Bi 0.443 0.403 0.334
Bi 0.557 0.597 0.666
Bi 0.557 0.903 0.166
Sb 0.323 0.644 0.035
Sb 0.323 0.856 0.535
Sb 0.677 0.144 0.465
Sb 0.677 0.356 0.965
O 0.192 0.708 0.488
O 0.192 0.792 0.988
O 0.197 0.559 0.181
O 0.197 0.941 0.681
O 0.257 0.022 0.014
O 0.257 0.478 0.514
O 0.271 0.568 0.823
O 0.271 0.932 0.323
O 0.313 0.182 0.345
O 0.313 0.318 0.845
O 0.687 0.682 0.155
O 0.687 0.818 0.655
O 0.729 0.068 0.677
O 0.729 0.432 0.177
O 0.743 0.522 0.486
O 0.743 0.978 0.986
O 0.803 0.059 0.319
O 0.803 0.441 0.819
O 0.808 0.208 0.012
O 0.808 0.292 0.512

# 2
Ce2Sb2Se5: computed XRD peak list (Cu Kα), based on the PBE geometry in the Materials Project.
Peak positions follow from Bragg's law for the DFT cell and can differ from measured ones.

Main lines, in order of falling intensity (2θ from 10° to 90°):
d/Å, I_rel
3.044, 100
2.112, 78
2.362, 70
2.813, 61
2.280, 56
2.850, 50
2.518, 45
3.260, 40
2.861, 37
3.896, 35
2.032, 30
2.893, 28

Cell and atoms:
abc: 19.485 4.225 11.905
angles: 90.00 90.00 90.00
Sites, in units of the cell vectors:
Ce 0.103 0.250 0.001
Ce 0.217 0.250 0.686
Ce 0.283 0.750 0.186
Ce 0.397 0.750 0.501
Ce 0.603 0.250 0.499
Ce 0.717 0.250 0.814
Ce 0.783 0.750 0.314
Ce 0.897 0.750 0.999
Sb 0.015 0.750 0.681
Sb 0.119 0.750 0.378
Sb 0.381 0.250 0.878
Sb 0.485 0.250 0.181
Sb 0.515 0.750 0.819
Sb 0.619 0.750 0.122
Sb 0.881 0.250 0.622
Sb 0.985 0.250 0.319
Se 0.029 0.750 0.124
Se 0.076 0.250 0.554
Se 0.134 0.750 0.819
Se 0.175 0.250 0.223
Se 0.238 0.750 0.501
Se 0.262 0.250 0.001
Se 0.325 0.750 0.723
Se 0.366 0.250 0.319
Se 0.424 0.750 0.054
Se 0.471 0.250 0.624
Se 0.529 0.750 0.376
Se 0.576 0.250 0.946
Se 0.634 0.750 0.681
Se 0.675 0.250 0.277
Se 0.738 0.750 0.999
Se 0.762 0.250 0.499
Se 0.825 0.750 0.777
Se 0.866 0.250 0.181
Se 0.924 0.750 0.446
Se 0.971 0.250 0.876

# 3
Re3Si: computed XRD peak list (Cu Kα), based on the PBE geometry in the Materials Project.
Peak positions follow from Bragg's law for the DFT cell and can differ from measured ones.

Main lines, in order of falling intensity (2θ from 10° to 90°):
d/Å, I_rel
2.095, 100
3.240, 27
2.213, 26
2.378, 24
1.167, 21
1.254, 19
1.373, 17
1.620, 15
1.148, 15
2.746, 10
4.756, 6
1.666, 5

Cell and atoms:
abc: 5.492 5.492 4.427
angles: 90.00 90.00 120.00
Sites, in units of the cell vectors:
Re 0.170 0.341 0.250
Re 0.170 0.830 0.250
Re 0.341 0.170 0.750
Re 0.659 0.830 0.250
Re 0.830 0.170 0.750
Re 0.830 0.659 0.750
Si 0.333 0.667 0.750
Si 0.667 0.333 0.250